Entry 1:
# Ho2MgCd
Calculated XRD peak list, λ = 1.5418 Å (Cu Kα). Input: a structure optimized by DFT (GGA-PBE).
Peak positions follow from Bragg's law for the DFT cell and can differ from measured ones.

The 6 most intense peaks (10 to 90 degrees two-theta), low angle first:
2θ (°)	Rel. int.
23.72	19
33.80	100
48.55	18
60.46	37
71.10	11
81.08	16

Atomic structure:
a = 5.3041 Å, b = 5.3041 Å, c = 5.3041 Å
α = 60.00°, β = 60.00°, γ = 60.00°
Positions (direct):
Ho (0.2500, 0.2500, 0.2500)
Ho (0.7500, 0.7500, 0.7500)
Mg (0.0000, 0.0000, 0.0000)
Cd (0.5000, 0.5000, 0.5000)

Entry 2:
# Mg14CrB
Calculated XRD peak list, λ = 1.5418 Å (Cu Kα). Input: a structure optimized by DFT (GGA-PBE).
Peak positions follow from Bragg's law for the DFT cell and can differ from measured ones.

The 6 most intense peaks (10 to 90 degrees two-theta), low angle first:
2θ (°)	Rel. int.
33.19	24
35.90	37
37.87	100
38.11	48
59.64	16
71.60	17

Atomic structure:
a = 10.0070 Å, b = 6.2018 Å, c = 6.2018 Å
α = 60.52°, β = 90.00°, γ = 90.00°
Positions (direct):
Mg (0.0000, 0.0000, 0.0000)
Mg (0.0000, 0.0046, 0.4995)
Mg (0.0000, 0.4984, 0.4984)
Mg (0.0000, 0.4995, 0.0046)
Mg (0.2510, 0.6660, 0.6660)
Mg (0.2635, 0.1625, 0.1625)
Mg (0.2704, 0.1660, 0.6795)
Mg (0.2704, 0.6795, 0.1660)
Mg (0.5000, 0.5010, 0.9923)
Mg (0.5000, 0.9923, 0.5010)
Mg (0.7296, 0.1660, 0.6795)
Mg (0.7296, 0.6795, 0.1660)
Mg (0.7365, 0.1625, 0.1625)
Mg (0.7490, 0.6660, 0.6660)
Cr (0.5000, 0.5042, 0.5042)
B (0.5000, 0.0014, 0.0014)

Entry 3:
# Cd3P2
Calculated XRD peak list, λ = 1.5418 Å (Cu Kα). Input: a structure optimized by DFT (GGA-PBE).
Peak positions follow from Bragg's law for the DFT cell and can differ from measured ones.

The 6 most intense peaks (10 to 90 degrees two-theta), low angle first:
2θ (°)	Rel. int.
26.65	79
28.52	73
33.58	55
40.78	100
53.82	43
58.02	31

Atomic structure:
a = 10.8402 Å, b = 10.8402 Å, c = 10.8402 Å
α = 109.47°, β = 109.47°, γ = 109.47°
Positions (direct):
Cd (0.0175, 0.4735, 0.7498)
Cd (0.0265, 0.0440, 0.2763)
Cd (0.0440, 0.2763, 0.0265)
Cd (0.2237, 0.2677, 0.7502)
Cd (0.2323, 0.4560, 0.4825)
Cd (0.2498, 0.7763, 0.7323)
Cd (0.2502, 0.9825, 0.5265)
Cd (0.2677, 0.7502, 0.2237)
Cd (0.2763, 0.0265, 0.0440)
Cd (0.4560, 0.4825, 0.2323)
Cd (0.4735, 0.7498, 0.0175)
Cd (0.4825, 0.2323, 0.4560)
Cd (0.5175, 0.7677, 0.5440)
Cd (0.5265, 0.2502, 0.9825)
Cd (0.5440, 0.5175, 0.7677)
Cd (0.7237, 0.9735, 0.9560)
Cd (0.7323, 0.2498, 0.7763)
Cd (0.7498, 0.0175, 0.4735)
Cd (0.7502, 0.2237, 0.2677)
Cd (0.7677, 0.5440, 0.5175)
Cd (0.7763, 0.7323, 0.2498)
Cd (0.9560, 0.7237, 0.9735)
Cd (0.9735, 0.9560, 0.7237)
Cd (0.9825, 0.5265, 0.2502)
P (0.0000, 0.0000, 0.5000)
P (0.0000, 0.5000, 0.0000)
P (0.0158, 0.7500, 0.7658)
P (0.2342, 0.9842, 0.2500)
P (0.2500, 0.2342, 0.9842)
P (0.2500, 0.7342, 0.4842)
P (0.2658, 0.5158, 0.7500)
P (0.4842, 0.2500, 0.7342)
P (0.5000, 0.0000, 0.0000)
P (0.5000, 0.5000, 0.5000)
P (0.5158, 0.7500, 0.2658)
P (0.7342, 0.4842, 0.2500)
P (0.7500, 0.2658, 0.5158)
P (0.7500, 0.7658, 0.0158)
P (0.7658, 0.0158, 0.7500)
P (0.9842, 0.2500, 0.2342)

Entry 4:
# KRe6Se5Cl7O3
Calculated XRD peak list, λ = 1.5418 Å (Cu Kα). Input: a structure optimized by DFT (GGA-PBE).
Peak positions follow from Bragg's law for the DFT cell and can differ from measured ones.

The 6 most intense peaks (10 to 90 degrees two-theta), low angle first:
2θ (°)	Rel. int.
11.10	61
11.28	100
12.52	25
13.26	55
13.54	29
44.32	10

Atomic structure:
a = 9.0112 Å, b = 9.0605 Å, c = 9.1146 Å
α = 65.20°, β = 66.60°, γ = 64.88°
Positions (direct):
K (0.0000, 0.0000, 0.0000)
Re (0.3138, 0.6006, 0.4464)
Re (0.3883, 0.5538, 0.7081)
Re (0.4529, 0.2946, 0.6090)
Re (0.5573, 0.7044, 0.3911)
Re (0.6138, 0.4398, 0.3041)
Re (0.7052, 0.3940, 0.5623)
Se (0.2709, 0.8574, 0.5471)
Se (0.3630, 0.3503, 0.3546)
Se (0.5433, 0.2584, 0.8613)
Se (0.7510, 0.1403, 0.4760)
Se (0.8529, 0.5487, 0.2554)
Cl (0.0473, 0.7535, 0.3776)
Cl (0.2471, 0.6236, 0.9640)
Cl (0.3649, 0.0433, 0.7642)
Cl (0.6232, 0.9680, 0.2500)
Cl (0.6491, 0.6479, 0.6487)
Cl (0.7506, 0.3860, 0.0383)
Cl (0.9705, 0.2599, 0.6321)
O (0.2186, 0.4650, 0.7135)
O (0.4789, 0.7029, 0.2115)
O (0.8541, 0.8529, 0.8497)

Entry 5:
# U2Si3Ge3
Calculated XRD peak list, λ = 1.5418 Å (Cu Kα). Input: a structure optimized by DFT (GGA-PBE).
Peak positions follow from Bragg's law for the DFT cell and can differ from measured ones.

The 6 most intense peaks (10 to 90 degrees two-theta), low angle first:
2θ (°)	Rel. int.
21.59	21
21.72	33
30.67	47
37.86	100
43.74	17
43.99	16

Atomic structure:
a = 4.1164 Å, b = 4.1390 Å, c = 8.1834 Å
α = 90.00°, β = 90.00°, γ = 90.00°
Positions (direct):
U (0.0000, 0.0000, 0.2459)
U (0.0000, 0.0000, 0.7541)
Si (0.0000, 0.5000, 0.0000)
Si (0.5000, 0.0000, 0.0000)
Si (0.5000, 0.0000, 0.5000)
Ge (0.0000, 0.5000, 0.5000)
Ge (0.5000, 0.5000, 0.2450)
Ge (0.5000, 0.5000, 0.7550)

Entry 6:
# Ca5Sb3
Calculated XRD peak list, λ = 1.5418 Å (Cu Kα). Input: a structure optimized by DFT (GGA-PBE).
Peak positions follow from Bragg's law for the DFT cell and can differ from measured ones.

The 6 most intense peaks (10 to 90 degrees two-theta), low angle first:
2θ (°)	Rel. int.
23.35	77
25.49	50
32.32	84
32.72	100
34.18	58
43.43	44

Atomic structure:
a = 9.0870 Å, b = 9.0870 Å, c = 6.9902 Å
α = 90.00°, β = 90.00°, γ = 120.00°
Positions (direct):
Ca (0.0000, 0.2520, 0.2500)
Ca (0.0000, 0.7480, 0.7500)
Ca (0.2520, 0.0000, 0.2500)
Ca (0.2520, 0.2520, 0.7500)
Ca (0.3333, 0.6667, 0.0000)
Ca (0.3333, 0.6667, 0.5000)
Ca (0.6667, 0.3333, 0.0000)
Ca (0.6667, 0.3333, 0.5000)
Ca (0.7480, 0.0000, 0.7500)
Ca (0.7480, 0.7480, 0.2500)
Sb (0.0000, 0.3891, 0.7500)
Sb (0.0000, 0.6109, 0.2500)
Sb (0.3891, 0.0000, 0.7500)
Sb (0.3891, 0.3891, 0.2500)
Sb (0.6109, 0.0000, 0.2500)
Sb (0.6109, 0.6109, 0.7500)

Entry 7:
# Ba2GdNbO6
Calculated XRD peak list, λ = 1.5418 Å (Cu Kα). Input: a structure optimized by DFT (GGA-PBE).
Peak positions follow from Bragg's law for the DFT cell and can differ from measured ones.

The 6 most intense peaks (10 to 90 degrees two-theta), low angle first:
2θ (°)	Rel. int.
29.41	100
42.12	19
52.16	41
60.97	12
69.23	12
84.42	15

Atomic structure:
a = 6.0787 Å, b = 6.0787 Å, c = 6.0787 Å
α = 120.12°, β = 120.12°, γ = 89.80°
Positions (direct):
Ba (0.2500, 0.7500, 0.5000)
Ba (0.7500, 0.2500, 0.5000)
Gd (0.0000, 0.0000, 0.0000)
Nb (0.5000, 0.5000, 0.0000)
O (0.2355, 0.7045, 0.9401)
O (0.2638, 0.2638, 0.0000)
O (0.2955, 0.2355, 0.5310)
O (0.7045, 0.7645, 0.4690)
O (0.7362, 0.7362, 0.0000)
O (0.7645, 0.2955, 0.0599)